(1)
MgZr2Rh: computed powder XRD pattern (a wavelength of 1.5418 Å), based on a cell relaxed with GGA-PBE.
Neutral-atom scattering factors, no anomalous dispersion.

Most intense lines, 2θ = 15–90°, sorted by position:
| d (Å) | I/Imax | hkl |
| --- | --- | --- |
| 3.705 | 8.0 | 0 0 2 |
| 3.275 | 7.6 | 1 0 0 |
| 2.453 | 100.0 | 1 0 2 |
| 2.315 | 46.0 | 1 1 0 |
| 1.972 | 8.0 | 1 0 3 |
| 1.852 | 8.1 | 0 0 4 |
| 1.637 | 15.3 | 2 0 0 |
| 1.446 | 14.1 | 1 1 4 |
| 1.362 | 29.7 | 2 1 2 |
| 1.227 | 8.0 | 2 0 4 |

Cell and atoms:
Cell: 3.275 3.275 7.409 Å, 90.00 90.00 90.00°
Space group P4mm (No. 99)
One atom of each set of equivalent atoms:
Mg1 0.000 0.000 0.000 (multiplicity 1)
Zr1 0.000 0.000 0.419 (multiplicity 1)
Zr2 0.500 0.500 0.700 (multiplicity 1)
Rh1 0.500 0.500 0.213 (multiplicity 1)

=====

(2)
Mg2ZrRh4: computed powder XRD pattern (a wavelength of 1.5418 Å), based on a cell relaxed with GGA-PBE.
Neutral-atom scattering factors, no anomalous dispersion.

Most intense lines, 2θ = 15–90°, sorted by position:
| d (Å) | I/Imax | hkl |
| --- | --- | --- |
| 4.112 | 14.4 | 1 0 1 |
| 3.134 | 16.5 | 0 0 4 |
| 3.078 | 31.5 | 1 1 0 |
| 2.196 | 100.0 | 1 1 4 |
| 2.176 | 51.0 | 2 0 0 |
| 1.788 | 12.8 | 2 0 4 |
| 1.539 | 17.3 | 2 2 0 |
| 1.272 | 16.1 | 2 0 8 |
| 1.260 | 31.9 | 3 1 4 |
| 1.098 | 10.4 | 2 2 8 |

Cell and atoms:
Cell: 4.353 4.353 12.538 Å, 90.00 90.00 90.00°
Space group I4/mmm (No. 139)
One atom of each set of equivalent atoms:
Mg1 0.000 0.000 0.243 (multiplicity 4)
Zr1 0.000 0.000 0.500 (multiplicity 2)
Rh1 0.000 0.500 0.122 (multiplicity 8)

=====

(3)
MgZr2Rh3: computed powder XRD pattern (a wavelength of 1.5418 Å), based on a cell relaxed with GGA-PBE.
Neutral-atom scattering factors, no anomalous dispersion.

Most intense lines, 2θ = 15–90°, sorted by position:
| d (Å) | I/Imax | hkl |
| --- | --- | --- |
| 4.716 | 5.2 | 0 0 2 |
| 3.314 | 5.6 | 1 0 0 |
| 2.343 | 54.8 | 1 1 0 |
| 2.281 | 100.0 | 1 0 3 |
| 1.657 | 18.4 | 2 0 0 |
| 1.572 | 7.3 | 0 0 6 |
| 1.341 | 35.1 | 2 1 3 |
| 1.306 | 15.4 | 1 1 6 |
| 1.172 | 5.7 | 2 2 0 |
| 1.140 | 10.1 | 2 0 6 |

Cell and atoms:
Cell: 3.314 3.314 9.433 Å, 90.00 90.00 90.00°
Space group P4/mmm (No. 123)
One atom of each set of equivalent atoms:
Mg1 0.000 0.000 0.000 (multiplicity 1)
Zr1 0.000 0.000 0.324 (multiplicity 2)
Rh1 0.500 0.500 0.169 (multiplicity 2)
Rh2 0.500 0.500 0.500 (multiplicity 1)

=====

(4)
Mg2ZrRh: computed powder XRD pattern (a wavelength of 1.5418 Å), based on a cell relaxed with GGA-PBE.
Neutral-atom scattering factors, no anomalous dispersion.

Most intense lines, 2θ = 15–90°, sorted by position:
| d (Å) | I/Imax | hkl |
| --- | --- | --- |
| 4.391 | 77.9 | 0 1 0 |
| 2.998 | 29.5 | 1 0 0 |
| 2.808 | 25.2 | 0 0 2 |
| 2.476 | 100.0 | 1 1 0 |
| 2.366 | 86.5 | 0 1 2 |
| 2.195 | 35.0 | 0 2 0 |
| 2.049 | 56.0 | 1 0 2 |
| 1.857 | 29.5 | 1 1 2 |
| 1.498 | 49.9 | 2 0 0 |
| 1.266 | 22.2 | 2 1 2 |

Cell and atoms:
Cell: 2.998 4.391 5.616 Å, 90.00 90.00 90.00°
Space group Pmmm (No. 47)
One atom of each set of equivalent atoms:
Mg1 0.000 0.000 0.231 (multiplicity 2)
Zr1 0.500 0.500 0.500 (multiplicity 1)
Rh1 0.500 0.500 0.000 (multiplicity 1)